Diffraction record for Ca4TiMn3O12. The XRD peak list is simulated, not measured: it uses the GGA+U geometry in the Materials Project and Cu Kα X-rays.
Kinematic intensities with the Lorentz-polarization factor, no thermal factor.

Atomic structure:
Lattice parameters (Å, degrees): 7.6391 7.6391 3.8328 90.00 90.00 90.00
Space group P4/mmm (No. 123)
Unique sites:
Ca1 0.2478 0.2478 0.0000 x4
Ti1 0.5000 0.5000 0.5000 x1
Mn1 0.0000 0.0000 0.5000 x1
Mn2 0.0000 0.5000 0.5000 x2
O1 0.0000 0.0000 0.0000 x1
O2 0.0000 0.2501 0.5000 x4
O3 0.0000 0.5000 0.0000 x2
O4 0.2462 0.5000 0.5000 x4
O5 0.5000 0.5000 0.0000 x1

The 6 most intense peaks (15° ≤ 2θ ≤ 90°), in order of rising 2θ:
2θ/deg  d/Å  I_rel  index
23.26  3.824  17  2 0 0
33.13  2.704  100  2 2 0
47.44  1.916  18  0 0 2
47.62  1.910  36  4 0 0
59.22  1.560  23  4 2 1
69.48  1.353  19  4 0 2